Entry 1:
La5Pr3Ho3: calculated powder X-ray diffraction pattern (a wavelength of 1.5418 Å), based on a DFT-relaxed cell (GGA-PBE, Alexandria).

```
data_La5Pr3Ho3
_symmetry_space_group_name_H-M 'P -6 2 m'
_symmetry_Int_Tables_number 189
_symmetry_space_group_name_Hall 'P -6 -2'
_cell_length_a 11.5536
_cell_length_b 11.5536
_cell_length_c 3.4910
_cell_angle_alpha 90.00
_cell_angle_beta 90.00
_cell_angle_gamma 120.00
loop_
_atom_site_label
_atom_site_fract_x
_atom_site_fract_y
_atom_site_fract_z
La1 0.0000 0.3361 0.0000
La2 0.3333 0.6667 0.0000
Pr1 0.0000 0.5989 0.5000
Ho1 0.0000 0.8417 0.0000
```

Top 10 peaks for 2θ from 10° to 80°, sorted by position:
- (2 1 0), 23.52°, d 3.782, intensity 37
- (3 0 0), 26.73°, d 3.335, intensity 77
- (1 1 1), 29.91°, d 2.988, intensity 85
- (2 2 0), 30.96°, d 2.888, intensity 36
- (3 1 0), 32.26°, d 2.775, intensity 100
- (2 1 1), 34.98°, d 2.565, intensity 73
- (2 2 1), 40.54°, d 2.225, intensity 84
- (3 2 1), 47.40°, d 1.918, intensity 45
- (6 0 1), 61.64°, d 1.505, intensity 41
- (3 1 2), 62.90°, d 1.478, intensity 29

---

Entry 2:
La4Pr4Ho3: calculated powder X-ray diffraction pattern (a wavelength of 1.5418 Å), based on a DFT-relaxed cell (GGA-PBE, Alexandria).

```
data_La4Pr4Ho3
_symmetry_space_group_name_H-M 'A m m 2'
_symmetry_Int_Tables_number 38
_cell_length_a 10.881
_cell_length_b 5.841
_cell_length_c 12.237
_cell_angle_alpha 90.00
_cell_angle_beta 90.00
_cell_angle_gamma 90.00
loop_
_symmetry_equiv_pos_as_xyz
'x,y,z'
'-x,-y,z'
'-x,y,z'
'x,-y,z'
'x,y+1/2,z+1/2'
'-x,-y+1/2,z+1/2'
'-x,y+1/2,z+1/2'
'x,-y+1/2,z+1/2'
loop_
_atom_site_label
_atom_site_fract_x
_atom_site_fract_y
_atom_site_fract_z
La1 0.000 0.000 0.000
La2 0.197 0.000 0.803
La3 0.500 0.000 0.937
Pr1 0.000 0.000 0.586
Pr2 0.302 0.000 0.151
Pr3 0.500 0.000 0.661
Ho1 0.000 0.000 0.297
Ho2 0.290 0.000 0.455
```

Top 10 peaks for 2θ from 10° to 80°, sorted by position:
- (3 1 1), 29.90°, d 2.988, intensity 39
- (1 0 4), 30.35°, d 2.945, intensity 20
- (0 2 0), 30.61°, d 2.920, intensity 40
- (2 1 3), 31.40°, d 2.849, intensity 100
- (4 0 0), 32.93°, d 2.720, intensity 14
- (1 2 4), 43.65°, d 2.074, intensity 14
- (5 0 4), 51.54°, d 1.773, intensity 12
- (2 3 3), 54.91°, d 1.672, intensity 29
- (3 1 7), 60.93°, d 1.520, intensity 16
- (5 2 4), 61.14°, d 1.516, intensity 15

---

Entry 3:
La5Pr8Ho: calculated powder X-ray diffraction pattern (a wavelength of 1.5418 Å), based on a DFT-relaxed cell (GGA-PBE, Alexandria).

```
data_La5Pr8Ho
_symmetry_space_group_name_H-M 'I -4'
_symmetry_Int_Tables_number 82
_cell_length_a 9.948
_cell_length_b 9.948
_cell_length_c 10.356
_cell_angle_alpha 90.00
_cell_angle_beta 90.00
_cell_angle_gamma 90.00
loop_
_symmetry_equiv_pos_as_xyz
'x,y,z'
'y,-x,-z'
'-x,-y,z'
'-y,x,-z'
'x+1/2,y+1/2,z+1/2'
'y+1/2,-x+1/2,-z+1/2'
'-x+1/2,-y+1/2,z+1/2'
'-y+1/2,x+1/2,-z+1/2'
loop_
_atom_site_label
_atom_site_fract_x
_atom_site_fract_y
_atom_site_fract_z
La1 0.000 0.000 0.000
La2 0.107 0.212 0.422
Pr1 0.070 0.330 0.095
Pr2 0.077 0.184 0.755
Ho1 0.000 0.500 0.750
```

Top 10 peaks for 2θ from 10° to 80°, sorted by position:
- (1 0 3), 27.35°, d 3.261, intensity 80
- (3 0 1), 28.26°, d 3.158, intensity 83
- (3 1 0), 28.37°, d 3.146, intensity 92
- (2 2 2), 30.73°, d 2.909, intensity 29
- (1 2 3), 32.84°, d 2.727, intensity 100
- (3 1 2), 33.33°, d 2.689, intensity 58
- (2 3 1), 33.62°, d 2.666, intensity 62
- (0 0 6), 53.11°, d 1.725, intensity 33
- (6 2 0), 58.70°, d 1.573, intensity 22
- (3 1 6), 61.26°, d 1.513, intensity 25

---

Entry 4:
La4Pr5Ho2: calculated powder X-ray diffraction pattern (a wavelength of 1.5418 Å), based on a DFT-relaxed cell (GGA-PBE, Alexandria).

```
data_La4Pr5Ho2
_symmetry_space_group_name_H-M 'C 1 2/m 1'
_symmetry_Int_Tables_number 12
_cell_length_a 18.129
_cell_length_b 3.620
_cell_length_c 11.978
_cell_angle_alpha 90.00
_cell_angle_beta 94.20
_cell_angle_gamma 90.00
loop_
_symmetry_equiv_pos_as_xyz
'x,y,z'
'-x,-y,-z'
'-x,y,-z'
'x,-y,z'
'x+1/2,y+1/2,z'
'-x+1/2,-y+1/2,-z'
'-x+1/2,y+1/2,-z'
'x+1/2,-y+1/2,z'
loop_
_atom_site_label
_atom_site_fract_x
_atom_site_fract_y
_atom_site_fract_z
La1 0.041 0.000 0.264
La2 0.142 0.500 0.795
Pr1 0.000 0.500 0.000
Pr2 0.096 0.000 0.539
Pr3 0.179 0.000 0.075
Ho1 0.217 0.500 0.364
```

Top 10 peaks for 2θ from 10° to 80°, sorted by position:
- (1 1 -2), 29.08°, d 3.071, intensity 32
- (1 1 2), 29.45°, d 3.033, intensity 26
- (6 0 -1), 30.04°, d 2.975, intensity 100
- (2 0 -4), 30.84°, d 2.900, intensity 57
- (4 0 3), 31.00°, d 2.885, intensity 59
- (3 1 -2), 31.99°, d 2.797, intensity 41
- (5 1 1), 36.29°, d 2.476, intensity 18
- (1 1 5), 46.10°, d 1.969, intensity 18
- (6 2 -1), 59.81°, d 1.546, intensity 19
- (4 2 3), 60.32°, d 1.534, intensity 40